Simulated powder XRD pattern
Compound: Be2Rh2W
Radiation: Cu Kα (weighted mean of Kα1 and Kα2)
Structure: the PBE geometry in Alexandria

Atomic structure:
a b c (Å): 6.583 6.583 2.758
angles (deg): 90.00 90.00 90.00
Space group P4/mbm (No. 127)
Asymmetric unit:
Be (0.123, 0.377, 0.000) [4 per cell]
Rh (0.170, 0.670, 0.500) [4 per cell]
W (0.000, 0.000, 0.000) [2 per cell]

Top 10 peaks for 15 to 90 degrees two-theta, sorted by position:
Position (°2θ)  d/Å  I/Imax  (hkl)
19.06  4.655  68  1 1 0
30.36  2.944  65  2 1 0
37.91  2.373  81  1 1 1
38.68  2.328  45  2 2 0
42.77  2.114  100  2 0 1
43.47  2.082  92  3 1 0
45.04  2.013  53  2 1 1
66.11  1.413  22  4 0 1
69.50  1.352  40  3 3 1
84.21  1.150  27  3 1 2